# Ce2SI4
Simulated powder diffractogram, Cu Kα. Input: DFT lattice parameters and positions (PBE).
Kinematic intensities with the Lorentz-polarization factor, no thermal factor.

Principal peaks in the range 2θ = 10–90°, by angle:
| two_theta | Rel. int. | (hkl) |
| --- | --- | --- |
| 14.88 | 1000 | 2 1 0 |
| 18.85 | 217 | 2 2 0 |
| 26.93 | 340 | 2 1 1 |
| 27.62 | 374 | 4 1 0 |
| 29.37 | 375 | 2 2 1 |
| 30.14 | 318 | 3 0 1 |
| 35.79 | 349 | 4 1 1 |
| 36.44 | 401 | 3 3 1 |

Cell and atoms:
Lattice parameters (Å, degrees): 13.3167 13.3167 3.9835 90.00 90.00 90.00
Space group P4_2/mnm (No. 136)
Asymmetric unit:
Ce (0.1087, 0.1087, 0.0000)
S (0.0000, 0.0000, 0.5000)
I (0.0646, 0.2857, 0.5000)